Starting from a crystal structure in OQMD, relaxed with GGA-PBE, the PXRD pattern of ErTmTa2Si2 was simulated for Cu Kα X-rays.

Principal peaks in the range 5 to 70 degrees two-theta, by angle:
11.56°, I = 25.0, (0 0 1); 25.21°, I = 29.2, (1 0 1); 32.45°, I = 38.5, (1 0 2); 33.92°, I = 100.0, (1 1 1); 35.18°, I = 31.9, (0 0 3); 39.74°, I = 53.1, (1 1 2); 45.56°, I = 39.8, (2 0 0); 58.83°, I = 29.4, (2 0 3)

Crystal structure
```
ErTmTa2Si2
1.0
3.9824 0.0000 0.0000
0.0000 3.9824 0.0000
0.0000 0.0000 7.6538
Er Tm Ta Si
1 1 2 2
Direct
0.0000 0.0000 0.0000 Er
0.5000 0.5000 0.2931 Tm
0.0000 0.5000 0.6458 Ta
0.5000 0.0000 0.6458 Ta
0.0000 0.0000 0.4018 Si
0.5000 0.5000 0.8897 Si
```